Record 1
This entry pairs a crystal structure of HoIrRu with its computed powder diffraction line list. Radiation: Cu Kα (λ = 1.5418 Å). Structure: a PBE-relaxed structure.
No peak broadening, texture or thermal motion is included.

Peak list (6 most intense, 2θ = 5–70°, by angle)
- 2.677 Å, intensity 30, hkl 1 1 2
- 2.289 Å, intensity 100, hkl 1 2 1
- 2.237 Å, intensity 32, hkl 2 1 1
- 2.208 Å, intensity 27, hkl 0 2 2
- 2.148 Å, intensity 26, hkl 2 0 2
- 1.432 Å, intensity 23, hkl 3 2 1

Structural model:
```
data_HoIrRu
_chemical_formula_sum 'Ho4 Ir4 Ru4'
_cell_length_a 5.189
_cell_length_b 5.407
_cell_length_c 7.658
_cell_angle_alpha 90.00
_cell_angle_beta 90.00
_cell_angle_gamma 90.00
_space_group_name_H-M_alt 'I m m a'
_space_group_IT_number 74
_space_group_name_Hall '-I 2b 2'
loop_
_atom_site_label
_atom_site_fract_x
_atom_site_fract_y
_atom_site_fract_z
_atom_site_occupancy
Ho1 0.000 0.250 0.123 1
Ir1 0.000 0.000 0.500 1
Ru1 0.250 0.250 0.750 1
```



Record 2
This entry pairs a crystal structure of Er2Th2Bi5 with its computed powder diffraction line list. Radiation: Cu Kα (λ = 1.5418 Å). Structure: a PBE-relaxed structure.
No peak broadening, texture or thermal motion is included.

Peak list (6 most intense, 2θ = 5–70°, by angle)
- 3.090 Å, intensity 68, hkl 3 1 2
- 2.991 Å, intensity 31, hkl 0 2 2
- 2.828 Å, intensity 35, hkl 5 1 1
- 2.751 Å, intensity 59, hkl 4 2 1
- 2.639 Å, intensity 100, hkl 1 3 1
- 2.055 Å, intensity 29, hkl 5 1 3

Structural model:
```
data_Er2Th2Bi5
_chemical_formula_sum 'Er8 Th8 Bi20'
_cell_length_a 16.046
_cell_length_b 8.448
_cell_length_c 8.471
_cell_angle_alpha 90.00
_cell_angle_beta 90.00
_cell_angle_gamma 90.00
_space_group_name_H-M_alt 'C m c e'
_space_group_IT_number 64
_space_group_name_Hall '-C 2ac 2'
loop_
_atom_site_label
_atom_site_fract_x
_atom_site_fract_y
_atom_site_fract_z
_atom_site_occupancy
Er1 0.000 0.150 0.152 1
Th1 0.194 0.000 0.500 1
Bi1 0.000 0.000 0.500 1
Bi2 0.137 0.156 0.846 1
```



Record 3
This entry pairs a crystal structure of Ac8Ir2Au3 with its computed powder diffraction line list. Radiation: Cu Kα (λ = 1.5418 Å). Structure: a PBE-relaxed structure.
No peak broadening, texture or thermal motion is included.

Peak list (6 most intense, 2θ = 5–70°, by angle)
- 7.011 Å, intensity 23, hkl 0 0 1
- 3.134 Å, intensity 100, hkl 2 2 1
- 3.120 Å, intensity 49, hkl 4 0 -2
- 2.268 Å, intensity 40, hkl 6 2 -1
- 2.158 Å, intensity 36, hkl 2 2 -3
- 1.803 Å, intensity 22, hkl 4 4 -2

Structural model:
```
data_Ac8Ir2Au3
_chemical_formula_sum 'Ac16 Ir4 Au6'
_cell_length_a 15.859
_cell_length_b 8.839
_cell_length_c 7.421
_cell_angle_alpha 90.00
_cell_angle_beta 109.13
_cell_angle_gamma 90.00
_space_group_name_H-M_alt 'C 1 2/m 1'
_space_group_IT_number 12
loop_
_space_group_symop_operation_xyz
'x,y,z'
'-x,-y,-z'
'-x,y,-z'
'x,-y,z'
'x+1/2,y+1/2,z'
'-x+1/2,-y+1/2,-z'
'-x+1/2,y+1/2,-z'
'x+1/2,-y+1/2,z'
loop_
_atom_site_label
_atom_site_fract_x
_atom_site_fract_y
_atom_site_fract_z
_atom_site_occupancy
Ac1 0.133 0.000 0.235 1
Ac2 0.134 0.500 0.246 1
Ac3 0.137 0.254 0.768 1
Ir1 0.248 0.000 0.998 1
Au1 0.000 0.250 0.000 1
Au2 0.000 0.500 0.500 1
```



Record 4
This entry pairs a crystal structure of CsPm3B4O12 with its computed powder diffraction line list. Radiation: Cu Kα (λ = 1.5418 Å). Structure: a PBE-relaxed structure.
No peak broadening, texture or thermal motion is included.

Peak list (6 most intense, 2θ = 5–70°, by angle)
- 4.117 Å, intensity 80, hkl 0 2 1
- 3.314 Å, intensity 100, hkl 2 0 2
- 2.626 Å, intensity 23, hkl 2 2 0
- 2.237 Å, intensity 23, hkl 3 1 2
- 2.136 Å, intensity 25, hkl 0 2 4
- 2.037 Å, intensity 32, hkl 2 2 3

Structural model:
```
data_CsPm3B4O12
_chemical_formula_sum 'Cs3 Pm9 B12 O36'
_cell_length_a 10.5052
_cell_length_b 10.5052
_cell_length_c 9.6752
_cell_angle_alpha 90.00
_cell_angle_beta 90.00
_cell_angle_gamma 120.00
_space_group_name_H-M_alt 'R 3 2'
_space_group_IT_number 155
_space_group_name_Hall 'R 3 2"'
loop_
_atom_site_label
_atom_site_fract_x
_atom_site_fract_y
_atom_site_fract_z
_atom_site_occupancy
Cs1 0.0000 0.0000 0.0000 1
Pm1 0.0000 0.5440 0.0000 1
B1 0.0000 0.0000 0.5000 1
B2 0.0000 0.4645 0.5000 1
O1 0.0000 0.5965 0.5000 1
O2 0.0000 0.8674 0.5000 1
O3 0.0060 0.2140 0.7855 1
```



Record 5
This entry pairs a crystal structure of PrSi6 with its computed powder diffraction line list. Radiation: Cu Kα (λ = 1.5418 Å). Structure: a PBE-relaxed structure.
No peak broadening, texture or thermal motion is included.

Peak list (6 most intense, 2θ = 5–70°, by angle)
- 4.710 Å, intensity 32, hkl 1 1 0
- 3.330 Å, intensity 44, hkl 2 0 0
- 2.719 Å, intensity 100, hkl 2 1 1
- 1.780 Å, intensity 56, hkl 3 2 1
- 1.665 Å, intensity 14, hkl 4 0 0
- 1.489 Å, intensity 16, hkl 4 2 0

Structural model:
```
data_PrSi6
_chemical_formula_sum 'Pr2 Si12'
_cell_length_a 6.661
_cell_length_b 6.661
_cell_length_c 6.661
_cell_angle_alpha 90.00
_cell_angle_beta 90.00
_cell_angle_gamma 90.00
_space_group_name_H-M_alt 'I m -3 m'
_space_group_IT_number 229
_space_group_name_Hall '-I 4 2 3'
loop_
_atom_site_label
_atom_site_fract_x
_atom_site_fract_y
_atom_site_fract_z
_atom_site_occupancy
Pr1 0.000 0.000 0.000 1
Si1 0.000 0.250 0.500 1
```



Record 6
This entry pairs a crystal structure of LiAc2In3Hg4 with its computed powder diffraction line list. Radiation: Cu Kα (λ = 1.5418 Å). Structure: a PBE-relaxed structure.
No peak broadening, texture or thermal motion is included.

Peak list (6 most intense, 2θ = 5–70°, by angle)
- 3.045 Å, intensity 77, hkl 1 0 3
- 2.953 Å, intensity 100, hkl 1 1 2
- 2.414 Å, intensity 74, hkl 2 0 0
- 2.116 Å, intensity 34, hkl 1 0 5
- 1.892 Å, intensity 40, hkl 2 1 3
- 1.591 Å, intensity 28, hkl 2 1 5

Structural model:
```
data_LiAc2In3Hg4
_chemical_formula_sum 'Li1 Ac2 In3 Hg4'
_cell_length_a 4.828
_cell_length_b 4.828
_cell_length_c 11.772
_cell_angle_alpha 90.00
_cell_angle_beta 90.00
_cell_angle_gamma 90.00
_space_group_name_H-M_alt 'P -4 m 2'
_space_group_IT_number 115
loop_
_space_group_symop_operation_xyz
'x,y,z'
'y,-x,-z'
'-x,-y,z'
'-y,x,-z'
'-x,y,z'
'-y,-x,-z'
'x,-y,z'
'y,x,-z'
loop_
_atom_site_label
_atom_site_fract_x
_atom_site_fract_y
_atom_site_fract_z
_atom_site_occupancy
Li1 0.000 0.000 0.000 1
Ac1 0.000 0.500 0.741 1
In1 0.000 0.500 0.361 1
In2 0.500 0.500 0.000 1
Hg1 0.000 0.000 0.500 1
Hg2 0.000 0.500 0.125 1
Hg3 0.500 0.500 0.500 1
```



Record 7
This entry pairs a crystal structure of LiTc2Mo with its computed powder diffraction line list. Radiation: Cu Kα (λ = 1.5418 Å). Structure: a PBE-relaxed structure.
No peak broadening, texture or thermal motion is included.

Peak list (6 most intense, 2θ = 5–70°, by angle)
- 8.361 Å, intensity 70, hkl 0 0 1
- 4.180 Å, intensity 14, hkl 0 0 2
- 2.258 Å, intensity 100, hkl 1 0 2
- 2.090 Å, intensity 19, hkl 0 0 4
- 1.898 Å, intensity 29, hkl 1 1 0
- 1.405 Å, intensity 21, hkl 1 1 4

Structural model:
```
data_LiTc2Mo
_chemical_formula_sum 'Li1 Tc2 Mo1'
_cell_length_a 2.684
_cell_length_b 2.684
_cell_length_c 8.361
_cell_angle_alpha 90.00
_cell_angle_beta 90.00
_cell_angle_gamma 90.00
_space_group_name_H-M_alt 'P 4/m m m'
_space_group_IT_number 123
_space_group_name_Hall '-P 4 2'
loop_
_atom_site_label
_atom_site_fract_x
_atom_site_fract_y
_atom_site_fract_z
_atom_site_occupancy
Li1 0.000 0.000 0.000 1
Tc1 0.500 0.500 0.257 1
Mo1 0.000 0.000 0.500 1
```



Record 8
This entry pairs a crystal structure of V7Ru with its computed powder diffraction line list. Radiation: Cu Kα (λ = 1.5418 Å). Structure: a PBE-relaxed structure.
No peak broadening, texture or thermal motion is included.

Peak list (6 most intense, 2θ = 5–70°, by angle)
- 5.995 Å, intensity 3, hkl 0 0 2
- 3.988 Å, intensity 5, hkl 1 0 1
- 2.905 Å, intensity 3, hkl 1 0 3
- 2.116 Å, intensity 100, hkl 2 0 0
- 1.499 Å, intensity 5, hkl 0 0 8
- 1.495 Å, intensity 10, hkl 2 2 0

Structural model:
```
data_V7Ru
_chemical_formula_sum 'V14 Ru2'
_cell_length_a 4.229
_cell_length_b 4.229
_cell_length_c 11.991
_cell_angle_alpha 90.00
_cell_angle_beta 90.00
_cell_angle_gamma 90.00
_space_group_name_H-M_alt 'I 4/m m m'
_space_group_IT_number 139
_space_group_name_Hall '-I 4 2'
loop_
_atom_site_label
_atom_site_fract_x
_atom_site_fract_y
_atom_site_fract_z
_atom_site_occupancy
V1 0.000 0.000 0.000 1
V2 0.000 0.000 0.245 1
V3 0.000 0.500 0.125 1
Ru1 0.000 0.000 0.500 1
```